For TbTmGe2Ir, a DFT-relaxed cell (GGA-PBE, OQMD) gives the theoretical powder diffraction line list in this record (λ = 1.5418 Å (Cu Kα)).
Peak positions follow from Bragg's law for the DFT cell and can differ from measured ones.

Structure:
Lattice parameters (Å, degrees): 10.5170 4.2855 10.3066 90.00 116.94 90.00
Space group C2/m (No. 12)
Asymmetric unit:
1 Tb 0.0073 0.0000 0.3285 (multiplicity 4)
2 Tm 0.1892 0.0000 0.1186 (multiplicity 4)
3 Ge 0.0216 0.5000 0.8860 (multiplicity 4)
4 Ge 0.1480 0.5000 0.5534 (multiplicity 4)
5 Ir 0.2278 0.5000 0.3327 (multiplicity 4)

Largest 10 diffraction maxima, in order of falling intensity, 2θ = 5–70°:
| d [Å] | 2theta | I (rel.) |
| --- | --- | --- |
| 2.663 | 33.65 | 1000 |
| 2.729 | 32.82 | 808 |
| 2.235 | 40.36 | 692 |
| 2.143 | 42.17 | 555 |
| 2.434 | 36.93 | 360 |
| 2.624 | 34.17 | 317 |
| 1.418 | 65.89 | 235 |
| 3.294 | 27.07 | 230 |
| 2.297 | 39.22 | 216 |
| 2.131 | 42.41 | 191 |

***

For Tl2GeIr, a DFT-relaxed cell (GGA-PBE, OQMD) gives the theoretical powder diffraction line list in this record (λ = 1.5418 Å (Cu Kα)).
Peak positions follow from Bragg's law for the DFT cell and can differ from measured ones.

Structure:
Lattice parameters (Å, degrees): 6.9962 6.9962 6.9962 90.00 90.00 90.00
Space group F-43m (No. 216)
Asymmetric unit:
1 Tl 0.0000 0.0000 0.0000 (multiplicity 4)
2 Tl 0.2500 0.2500 0.2500 (multiplicity 4)
3 Ge 0.0000 0.0000 0.5000 (multiplicity 4)
4 Ir 0.2500 0.2500 0.7500 (multiplicity 4)

Largest 10 diffraction maxima, in order of falling intensity, 2θ = 5–70°:
| d [Å] | 2theta | I (rel.) |
| --- | --- | --- |
| 2.474 | 36.32 | 1000 |
| 1.428 | 65.34 | 368 |
| 1.749 | 52.31 | 179 |
| 4.039 | 22.01 | 81 |
| 2.109 | 42.87 | 45 |
| 3.498 | 25.46 | 36 |
| 1.605 | 57.41 | 20 |
| 1.564 | 59.05 | 15 |
| 1.346 | 69.86 | 15 |
| 2.020 | 44.88 | 11 |

***

For Tm3Ge13Ir4, a DFT-relaxed cell (GGA-PBE, OQMD) gives the theoretical powder diffraction line list in this record (λ = 1.5418 Å (Cu Kα)).
Peak positions follow from Bragg's law for the DFT cell and can differ from measured ones.

Structure:
Lattice parameters (Å, degrees): 8.9942 8.9942 8.9942 90.00 90.00 90.00
Space group Pm-3n (No. 223)
Asymmetric unit:
1 Tm 0.0000 0.2500 0.5000 (multiplicity 6)
2 Ge 0.0000 0.0000 0.0000 (multiplicity 2)
3 Ge 0.0000 0.3090 0.1440 (multiplicity 24)
4 Ir 0.2500 0.2500 0.2500 (multiplicity 8)

Largest 10 diffraction maxima, in order of falling intensity, 2θ = 5–70°:
| d [Å] | 2theta | I (rel.) |
| --- | --- | --- |
| 2.495 | 36.00 | 1000 |
| 2.596 | 34.55 | 585 |
| 2.249 | 40.10 | 542 |
| 1.836 | 49.66 | 496 |
| 4.497 | 19.74 | 421 |
| 2.404 | 37.41 | 410 |
| 1.356 | 69.30 | 392 |
| 2.011 | 45.08 | 376 |
| 3.180 | 28.06 | 252 |
| 1.590 | 58.01 | 221 |

***

For Tm6GeIr2, a DFT-relaxed cell (GGA-PBE, OQMD) gives the theoretical powder diffraction line list in this record (λ = 1.5418 Å (Cu Kα)).
Peak positions follow from Bragg's law for the DFT cell and can differ from measured ones.

Structure:
Lattice parameters (Å, degrees): 7.4589 7.4589 4.4531 90.00 90.00 120.00
Space group P-62m (No. 189)
Asymmetric unit:
1 Tm 0.0000 0.4141 0.0000 (multiplicity 3)
2 Tm 0.0000 0.7365 0.5000 (multiplicity 3)
3 Ge 0.0000 0.0000 0.0000 (multiplicity 1)
4 Ir 0.3333 0.6667 0.5000 (multiplicity 2)

Largest 10 diffraction maxima, in order of falling intensity, 2θ = 5–70°:
| d [Å] | 2theta | I (rel.) |
| --- | --- | --- |
| 2.859 | 31.28 | 1000 |
| 2.615 | 34.30 | 786 |
| 2.441 | 36.81 | 430 |
| 2.153 | 41.96 | 315 |
| 2.227 | 40.51 | 312 |
| 1.406 | 66.50 | 263 |
| 1.645 | 55.89 | 261 |
| 1.548 | 59.74 | 224 |
| 2.141 | 42.21 | 195 |
| 1.379 | 67.97 | 110 |

***

For U3Ge13Ir4, a DFT-relaxed cell (GGA-PBE, OQMD) gives the theoretical powder diffraction line list in this record (λ = 1.5418 Å (Cu Kα)).
Peak positions follow from Bragg's law for the DFT cell and can differ from measured ones.

Structure:
Lattice parameters (Å, degrees): 12.6904 12.6904 15.6751 90.00 90.00 120.00
Space group R3c (No. 161, hexagonal axes)
Asymmetric unit:
1 U 0.0842 0.4154 0.0000 (multiplicity 18)
2 Ge 0.0000 0.0000 0.0855 (multiplicity 6)
3 Ge 0.0070 0.1740 0.9161 (multiplicity 18)
4 Ge 0.0449 0.2107 0.5364 (multiplicity 18)
5 Ge 0.1083 0.3820 0.8089 (multiplicity 18)
6 Ge 0.1556 0.0131 0.7259 (multiplicity 18)
7 Ir 0.0000 0.0000 0.3324 (multiplicity 6)
8 Ir 0.0005 0.5005 0.3322 (multiplicity 18)

Largest 10 diffraction maxima, in order of falling intensity, 2θ = 5–70°:
| d [Å] | 2theta | I (rel.) |
| --- | --- | --- |
| 2.593 | 34.59 | 1000 |
| 2.250 | 40.08 | 963 |
| 2.502 | 35.89 | 836 |
| 2.489 | 36.08 | 741 |
| 1.834 | 49.72 | 473 |
| 4.499 | 19.73 | 399 |
| 1.356 | 69.30 | 358 |
| 2.403 | 37.42 | 306 |
| 4.033 | 22.04 | 303 |
| 2.613 | 34.33 | 277 |

***

For GeIr2W, a DFT-relaxed cell (GGA-PBE, OQMD) gives the theoretical powder diffraction line list in this record (λ = 1.5418 Å (Cu Kα)).
Peak positions follow from Bragg's law for the DFT cell and can differ from measured ones.

Structure:
Lattice parameters (Å, degrees): 6.2346 6.2346 6.2346 90.00 90.00 90.00
Space group F-43m (No. 216)
Asymmetric unit:
1 Ge 0.0000 0.0000 0.0000 (multiplicity 4)
2 Ir 0.0000 0.0000 0.5000 (multiplicity 4)
3 Ir 0.2500 0.2500 0.7500 (multiplicity 4)
4 W 0.2500 0.2500 0.2500 (multiplicity 4)

Largest 8 diffraction maxima, in order of falling intensity, 2θ = 5–70°:
| d [Å] | 2theta | I (rel.) |
| --- | --- | --- |
| 2.204 | 40.94 | 1000 |
| 1.559 | 59.29 | 170 |
| 3.600 | 24.73 | 78 |
| 1.880 | 48.42 | 41 |
| 3.117 | 28.64 | 35 |
| 1.430 | 65.23 | 17 |
| 1.394 | 67.14 | 14 |
| 1.800 | 50.73 | 10 |

***

For KLuGeS3, a DFT-relaxed cell (GGA-PBE, OQMD) gives the theoretical powder diffraction line list in this record (λ = 1.5418 Å (Cu Kα)).
Peak positions follow from Bragg's law for the DFT cell and can differ from measured ones.

Structure:
Lattice parameters (Å, degrees): 8.1683 3.8479 10.5928 90.00 108.64 90.00
Space group P2_1/m (No. 11)
Asymmetric unit:
1 K 0.2255 0.2500 0.2666 (multiplicity 2)
2 Lu 0.3645 0.7500 0.8475 (multiplicity 2)
3 Ge 0.1364 0.2500 0.5624 (multiplicity 2)
4 S 0.1153 0.2500 0.7783 (multiplicity 2)
5 S 0.3401 0.7500 0.5863 (multiplicity 2)
6 S 0.3971 0.7500 0.1040 (multiplicity 2)

Largest 10 diffraction maxima, in order of falling intensity, 2θ = 5–70°:
| d [Å] | 2theta | I (rel.) |
| --- | --- | --- |
| 7.374 | 12.00 | 1000 |
| 2.729 | 32.82 | 458 |
| 3.125 | 28.56 | 310 |
| 2.648 | 33.85 | 205 |
| 1.904 | 47.78 | 155 |
| 2.395 | 37.55 | 145 |
| 3.346 | 26.64 | 140 |
| 2.219 | 40.65 | 134 |
| 7.740 | 11.43 | 134 |
| 3.687 | 24.14 | 114 |

***

For KLuGeS4, a DFT-relaxed cell (GGA-PBE, OQMD) gives the theoretical powder diffraction line list in this record (λ = 1.5418 Å (Cu Kα)).
Peak positions follow from Bragg's law for the DFT cell and can differ from measured ones.

Structure:
Lattice parameters (Å, degrees): 6.4399 6.6343 8.6579 90.00 107.23 90.00
Space group P2_1 (No. 4)
Asymmetric unit:
1 K 0.2341 0.0000 0.4352 (multiplicity 2)
2 Lu 0.2708 0.9804 0.9495 (multiplicity 2)
3 Ge 0.2738 0.5168 0.1722 (multiplicity 2)
4 S 0.0589 0.5904 0.9262 (multiplicity 2)
5 S 0.0638 0.5190 0.3310 (multiplicity 2)
6 S 0.4720 0.2563 0.7852 (multiplicity 2)
7 S 0.4861 0.2452 0.1965 (multiplicity 2)

Largest 10 diffraction maxima, in order of falling intensity, 2θ = 5–70°:
| d [Å] | 2theta | I (rel.) |
| --- | --- | --- |
| 8.269 | 10.70 | 1000 |
| 2.764 | 32.40 | 296 |
| 5.175 | 17.14 | 265 |
| 2.669 | 33.57 | 255 |
| 3.317 | 26.88 | 222 |
| 2.255 | 39.98 | 209 |
| 4.511 | 19.68 | 183 |
| 3.077 | 29.02 | 167 |
| 3.509 | 25.38 | 153 |
| 3.443 | 25.88 | 148 |

***

For KNaZnGe, a DFT-relaxed cell (GGA-PBE, OQMD) gives the theoretical powder diffraction line list in this record (λ = 1.5418 Å (Cu Kα)).
Peak positions follow from Bragg's law for the DFT cell and can differ from measured ones.

Structure:
Lattice parameters (Å, degrees): 5.9070 7.6950 9.8889 90.00 90.00 90.00
Space group Ama2 (No. 40)
Asymmetric unit:
1 K 0.2500 0.1477 0.0000 (multiplicity 4)
2 Na 0.2500 0.1390 0.3493 (multiplicity 4)
3 Zn 0.0000 0.0000 0.6791 (multiplicity 4)
4 Ge 0.2500 0.2519 0.6639 (multiplicity 4)

Largest 10 diffraction maxima, in order of falling intensity, 2θ = 5–70°:
| d [Å] | 2theta | I (rel.) |
| --- | --- | --- |
| 2.696 | 33.23 | 1000 |
| 4.944 | 17.94 | 780 |
| 6.073 | 14.59 | 581 |
| 2.117 | 42.71 | 568 |
| 2.343 | 38.42 | 505 |
| 3.030 | 29.48 | 499 |
| 4.234 | 20.98 | 490 |
| 2.656 | 33.75 | 454 |
| 2.289 | 39.37 | 273 |
| 1.701 | 53.92 | 269 |

***

For KNa3Zn2Ge2, a DFT-relaxed cell (GGA-PBE, OQMD) gives the theoretical powder diffraction line list in this record (λ = 1.5418 Å (Cu Kα)).
Peak positions follow from Bragg's law for the DFT cell and can differ from measured ones.

Structure:
Lattice parameters (Å, degrees): 6.0101 5.6415 6.2660 90.00 103.44 90.00
Space group Pm (No. 6)
Asymmetric unit:
1 K 0.0000 0.0000 0.0000 (multiplicity 1)
2 Na 0.0775 0.5000 0.3769 (multiplicity 1)
3 Na 0.3593 0.0000 0.6518 (multiplicity 1)
4 Na 0.7113 0.5000 0.7018 (multiplicity 1)
5 Zn 0.5463 0.2513 0.1840 (multiplicity 2)
6 Ge 0.2901 0.5000 0.9159 (multiplicity 1)
7 Ge 0.7916 0.0000 0.4600 (multiplicity 1)

Largest 10 diffraction maxima, in order of falling intensity, 2θ = 5–70°:
| d [Å] | 2theta | I (rel.) |
| --- | --- | --- |
| 4.814 | 18.43 | 1000 |
| 2.266 | 39.79 | 703 |
| 2.589 | 34.65 | 495 |
| 2.651 | 33.81 | 489 |
| 4.059 | 21.90 | 413 |
| 2.070 | 43.73 | 354 |
| 6.094 | 14.53 | 341 |
| 2.912 | 30.70 | 319 |
| 2.030 | 44.64 | 307 |
| 5.846 | 15.16 | 305 |

***

For K3Nb3Ge2O13, a DFT-relaxed cell (GGA-PBE, OQMD) gives the theoretical powder diffraction line list in this record (λ = 1.5418 Å (Cu Kα)).
Peak positions follow from Bragg's law for the DFT cell and can differ from measured ones.

Structure:
Lattice parameters (Å, degrees): 9.2852 9.2852 7.8006 90.00 90.00 120.00
Space group P-62m (No. 189)
Asymmetric unit:
1 K 0.0000 0.5991 0.0000 (multiplicity 3)
2 K 0.0000 0.6078 0.5000 (multiplicity 3)
3 Nb 0.0000 0.2326 0.2496 (multiplicity 6)
4 Ge 0.3333 0.6667 0.2272 (multiplicity 4)
5 O 0.0000 0.2002 0.5000 (multiplicity 3)
6 O 0.0000 0.2866 0.0000 (multiplicity 3)
7 O 0.0000 0.8237 0.2148 (multiplicity 6)
8 O 0.1758 0.4751 0.2966 (multiplicity 12)
9 O 0.3333 0.6667 0.0000 (multiplicity 2)

Largest 10 diffraction maxima, in order of falling intensity, 2θ = 5–70°:
| d [Å] | 2theta | I (rel.) |
| --- | --- | --- |
| 3.039 | 29.39 | 1000 |
| 2.986 | 29.92 | 750 |
| 3.900 | 22.80 | 468 |
| 2.799 | 31.97 | 415 |
| 1.641 | 56.03 | 346 |
| 1.600 | 57.60 | 316 |
| 2.397 | 37.52 | 294 |
| 4.643 | 19.12 | 271 |
| 1.755 | 52.12 | 251 |
| 4.021 | 22.11 | 225 |